For ScAlCuRu, a structure optimized by DFT (PBE) gives the simulated X-ray diffraction stick pattern in this record (Cu Kα).
Intensities are scaled so that the largest is 100.

Cell and atoms:
a b c (Å): 3.2365 4.2542 4.3817
angles (deg): 90.00 90.00 90.00
Space group Pmmm (No. 47)
Unique sites:
Sc  0.0000  0.0000  0.0000 x1
Al  0.0000  0.5000  0.5000 x1
Cu  0.5000  0.0000  0.5000 x1
Ru  0.5000  0.5000  0.0000 x1

Top 10 peaks for 2θ = 10–90°, in order of rising 2θ:
- 2θ 27.6, d 3.236, intensity 12, (1 0 0)
- 2θ 29.3, d 3.052, intensity 21, (0 1 1)
- 2θ 40.6, d 2.221, intensity 100, (1 1 1)
- 2θ 41.2, d 2.191, intensity 24, (0 0 2)
- 2θ 42.5, d 2.127, intensity 22, (0 2 0)
- 2θ 56.9, d 1.618, intensity 9, (2 0 0)
- 2θ 60.7, d 1.526, intensity 14, (0 2 2)
- 2θ 74.7, d 1.271, intensity 15, (1 1 3)
- 2θ 76.5, d 1.245, intensity 14, (1 3 1)
- 2θ 88.0, d 1.110, intensity 10, (2 2 2)

=====

For Al2Cu3S6, a structure optimized by DFT (PBE) gives the simulated X-ray diffraction stick pattern in this record (Cu Kα).
Intensities are scaled so that the largest is 100.

Cell and atoms:
a b c (Å): 5.2028 5.2028 31.7452
angles (deg): 90.00 90.00 90.00
Space group I-42d (No. 122)
Unique sites:
Al  0.0000  0.0000  0.1695 x8
Cu  0.0000  0.0000  0.0000 x4
Cu  0.0000  0.0000  0.3315 x8
S  0.2430  0.2454  0.5405 x16
S  0.2500  0.2500  0.3750 x8

Top 10 peaks for 2θ = 10–90°, in order of rising 2θ:
- 2θ 19.0, d 4.669, intensity 29, (1 0 3)
- 2θ 29.6, d 3.021, intensity 100, (1 1 6)
- 2θ 30.6, d 2.920, intensity 10, (1 0 9)
- 2θ 39.7, d 2.272, intensity 10, (2 1 3)
- 2θ 49.1, d 1.855, intensity 43, (2 0 12)
- 2θ 49.6, d 1.839, intensity 21, (2 2 0)
- 2θ 58.0, d 1.590, intensity 13, (1 1 18)
- 2θ 58.8, d 1.571, intensity 25, (3 1 6)
- 2θ 72.7, d 1.301, intensity 6, (4 0 0)
- 2θ 79.7, d 1.203, intensity 10, (3 1 18)

=====

For AlCuS, a structure optimized by DFT (PBE) gives the simulated X-ray diffraction stick pattern in this record (Cu Kα).
Intensities are scaled so that the largest is 100.

Cell and atoms:
a b c (Å): 3.6636 7.9401 8.7663
angles (deg): 90.00 101.13 90.00
Space group C2/m (No. 12)
Unique sites:
Al  0.0724  0.0000  0.1583 x4
Cu  0.0000  0.3406  0.0000 x4
S  0.1426  0.5000  0.3112 x4

Top 10 peaks for 2θ = 10–90°, in order of rising 2θ:
- 2θ 10.3, d 8.601, intensity 100, (0 0 1)
- 2θ 30.6, d 2.917, intensity 13, (0 2 2)
- 2θ 31.2, d 2.867, intensity 8, (0 0 3)
- 2θ 37.9, d 2.374, intensity 8, (1 1 -3)
- 2θ 42.5, d 2.126, intensity 7, (1 3 -1)
- 2θ 45.0, d 2.016, intensity 11, (1 3 1)
- 2θ 45.3, d 2.003, intensity 10, (1 3 -2)
- 2θ 45.6, d 1.991, intensity 8, (1 1 3)
- 2θ 46.3, d 1.963, intensity 7, (1 1 -4)
- 2θ 49.8, d 1.831, intensity 8, (2 0 -1)

=====

For SrAlCu2S4, a structure optimized by DFT (PBE) gives the simulated X-ray diffraction stick pattern in this record (Cu Kα).
Intensities are scaled so that the largest is 100.

Cell and atoms:
a b c (Å): 6.3858 6.3858 7.8666
angles (deg): 90.00 90.00 90.00
Space group I-42m (No. 121)
Unique sites:
Sr  0.0000  0.0000  0.0000 x2
Al  0.0000  0.0000  0.5000 x2
Cu  0.0000  0.5000  0.2500 x4
S  0.2022  0.2022  0.6697 x8

Top 10 peaks for 2θ = 10–90°, in order of rising 2θ:
- 2θ 27.9, d 3.193, intensity 17, (2 0 0)
- 2θ 30.1, d 2.966, intensity 100, (1 1 2)
- 2θ 33.4, d 2.684, intensity 21, (2 1 1)
- 2θ 37.1, d 2.426, intensity 8, (1 0 3)
- 2θ 39.9, d 2.258, intensity 37, (2 2 0)
- 2θ 50.8, d 1.796, intensity 47, (3 1 2)
- 2θ 54.8, d 1.674, intensity 22, (2 0 4)
- 2θ 57.7, d 1.596, intensity 9, (4 0 0)
- 2θ 80.5, d 1.193, intensity 8, (5 1 2)
- 2θ 83.7, d 1.155, intensity 10, (4 2 4)

=====

For ScAl3Cu2, a structure optimized by DFT (PBE) gives the simulated X-ray diffraction stick pattern in this record (Cu Kα).
Intensities are scaled so that the largest is 100.

Cell and atoms:
a b c (Å): 16.0654 3.9405 9.6671
angles (deg): 90.00 106.93 90.00
Space group C2/m (No. 12)
Unique sites:
Sc  0.0000  0.0000  0.0000 x2
Sc  0.1567  0.0000  0.6983 x4
Al  0.0000  0.5000  0.5000 x2
Al  0.0432  0.0000  0.3420 x4
Al  0.1214  0.5000  0.1946 x4
Al  0.1745  0.5000  0.9607 x4
Al  0.2166  0.0000  0.3901 x4
Cu  0.0315  0.5000  0.7816 x4
Cu  0.1384  0.5000  0.4577 x4
Cu  0.1981  0.0000  0.1285 x4

Top 10 peaks for 2θ = 10–90°, in order of rising 2θ:
- 2θ 25.5, d 3.498, intensity 21, (4 0 -2)
- 2θ 29.2, d 3.054, intensity 21, (1 1 -2)
- 2θ 31.6, d 2.832, intensity 38, (3 1 -2)
- 2θ 35.0, d 2.562, intensity 23, (6 0 0)
- 2θ 36.1, d 2.488, intensity 100, (1 1 -3)
- 2θ 37.5, d 2.398, intensity 32, (3 1 2)
- 2θ 44.1, d 2.055, intensity 23, (2 0 4)
- 2θ 44.5, d 2.037, intensity 25, (6 0 -4)
- 2θ 45.8, d 1.981, intensity 25, (7 1 -1)
- 2θ 46.1, d 1.970, intensity 59, (0 2 0)

=====

For Sc2Al5Cu3, a structure optimized by DFT (PBE) gives the simulated X-ray diffraction stick pattern in this record (Cu Kα).
Intensities are scaled so that the largest is 100.

Cell and atoms:
a b c (Å): 4.0922 23.9999 6.5691
angles (deg): 90.00 90.00 90.00
Space group Cmc2_1 (No. 36)
Unique sites:
Sc  0.0000  0.0197  0.0000 x4
Sc  0.0000  0.3257  0.9674 x4
Al  0.0000  0.0991  0.6430 x4
Al  0.0000  0.2079  0.1626 x4
Al  0.0000  0.2095  0.7565 x4
Al  0.0000  0.3774  0.4911 x4
Al  0.0000  0.4464  0.8308 x4
Cu  0.0000  0.1091  0.2549 x4
Cu  0.0000  0.2731  0.4568 x4
Cu  0.0000  0.4533  0.2192 x4

Top 10 peaks for 2θ = 10–90°, in order of rising 2θ:
- 2θ 26.1, d 3.416, intensity 18, (0 6 1)
- 2θ 28.0, d 3.186, intensity 13, (1 3 1)
- 2θ 36.8, d 2.440, intensity 100, (1 3 2)
- 2θ 40.0, d 2.254, intensity 15, (0 10 1)
- 2θ 40.4, d 2.234, intensity 15, (1 9 0)
- 2θ 44.3, d 2.046, intensity 30, (2 0 0)
- 2θ 47.2, d 1.925, intensity 10, (1 11 0)
- 2θ 48.5, d 1.877, intensity 15, (1 3 3)
- 2θ 49.3, d 1.847, intensity 21, (1 9 2)
- 2θ 70.6, d 1.334, intensity 13, (1 13 3)

=====

For Sc4AlCu, a structure optimized by DFT (PBE) gives the simulated X-ray diffraction stick pattern in this record (Cu Kα).
Intensities are scaled so that the largest is 100.

Cell and atoms:
a b c (Å): 11.2461 3.3118 8.0752
angles (deg): 90.00 123.18 90.00
Space group Cm (No. 8)
Unique sites:
Sc  0.0000  0.0000  0.0000 x2
Sc  0.0369  0.5000  0.6792 x2
Sc  0.2308  0.0000  0.5697 x2
Sc  0.3088  0.5000  0.2912 x2
Al  0.2681  0.0000  0.9634 x2
Cu  0.0182  0.5000  0.2957 x2

Top 10 peaks for 2θ = 10–90°, in order of rising 2θ:
- 2θ 13.1, d 6.758, intensity 35, (0 0 1)
- 2θ 33.7, d 2.658, intensity 61, (1 1 1)
- 2θ 35.4, d 2.535, intensity 100, (1 1 -2)
- 2θ 36.3, d 2.477, intensity 91, (3 1 -1)
- 2θ 37.2, d 2.417, intensity 60, (4 0 -3)
- 2θ 37.9, d 2.376, intensity 35, (3 1 -2)
- 2θ 38.2, d 2.353, intensity 59, (4 0 0)
- 2θ 39.6, d 2.278, intensity 43, (3 1 0)
- 2θ 40.0, d 2.253, intensity 50, (0 0 3)
- 2θ 69.4, d 1.354, intensity 29, (4 2 0)

=====

For ScAl6Cu12, a structure optimized by DFT (PBE) gives the simulated X-ray diffraction stick pattern in this record (Cu Kα).
Intensities are scaled so that the largest is 100.

Cell and atoms:
a b c (Å): 10.8090 10.8090 8.2593
angles (deg): 90.00 90.00 120.00
Space group R-3m (No. 166, hexagonal axes)
Unique sites:
Sc  0.0000  0.0000  0.0000 x3
Al  0.0605  0.5302  0.2392 x18
Cu  0.0000  0.3881  0.5000 x18
Cu  0.0815  0.1631  0.2796 x18

Top 10 peaks for 2θ = 10–90°, in order of rising 2θ:
- 2θ 23.5, d 3.778, intensity 50, (0 1 2)
- 2θ 36.3, d 2.477, intensity 100, (1 3 1)
- 2θ 36.6, d 2.453, intensity 46, (1 1 3)
- 2θ 43.5, d 2.078, intensity 44, (3 2 1)
- 2θ 43.9, d 2.064, intensity 52, (0 3 3)
- 2θ 47.7, d 1.905, intensity 30, (2 3 2)
- 2θ 48.2, d 1.889, intensity 25, (0 2 4)
- 2θ 52.9, d 1.730, intensity 15, (2 4 1)
- 2θ 53.8, d 1.705, intensity 41, (5 0 2)
- 2θ 86.8, d 1.122, intensity 16, (3 5 4)